Calculated powder diffraction line list of SrCd2CoPb for Cu Ka, from a GGA-PBE-relaxed structure.
No peak broadening, texture or thermal motion is included.

Most intense lines, 10° ≤ 2θ ≤ 90°, in order of rising 2θ:
17.36°, I = 28
30.49°, I = 100
35.13°, I = 56
35.81°, I = 26
51.04°, I = 38
60.17°, I = 29

Crystal structure
a = 5.1097 Å, b = 5.1097 Å, c = 5.0148 Å
α = 90.00°, β = 90.00°, γ = 90.00°
Space group P4/mmm (No. 123)
One atom of each set of equivalent atoms:
1 Sr 0.0000 0.0000 0.0000 (multiplicity 1)
2 Cd 0.0000 0.5000 0.5000 (multiplicity 2)
3 Co 0.5000 0.5000 0.5000 (multiplicity 1)
4 Pb 0.5000 0.5000 0.0000 (multiplicity 1)

Calculated powder diffraction line list of Pr12CdCo6 for Cu Ka, from a GGA-PBE-relaxed structure.
No peak broadening, texture or thermal motion is included.

Most intense lines, 10° ≤ 2θ ≤ 90°, in order of rising 2θ:
27.95°, I = 46
30.68°, I = 51
33.21°, I = 100
45.83°, I = 26
52.88°, I = 37
56.17°, I = 37

Crystal structure
a = 10.0949 Å, b = 10.0949 Å, c = 10.0949 Å
α = 90.00°, β = 90.00°, γ = 90.00°
Space group Im-3 (No. 204)
One atom of each set of equivalent atoms:
1 Pr 0.0000 0.1935 0.3069 (multiplicity 24)
2 Cd 0.0000 0.0000 0.0000 (multiplicity 2)
3 Co 0.0000 0.3895 0.5000 (multiplicity 12)

Calculated powder diffraction line list of Pr7Cd2Co2 for Cu Ka, from a GGA-PBE-relaxed structure.
No peak broadening, texture or thermal motion is included.

Most intense lines, 10° ≤ 2θ ≤ 90°, in order of rising 2θ:
27.45°, I = 35
29.38°, I = 38
30.11°, I = 57
33.61°, I = 100
33.94°, I = 27
34.26°, I = 44

Crystal structure
a = 3.7820 Å, b = 15.7058 Å, c = 10.8091 Å
α = 90.00°, β = 90.00°, γ = 90.00°
Space group Imm2 (No. 44)
One atom of each set of equivalent atoms:
1 Pr 0.0000 0.0000 0.0000 (multiplicity 2)
2 Pr 0.0000 0.1756 0.4905 (multiplicity 4)
3 Pr 0.0000 0.3435 0.6920 (multiplicity 4)
4 Pr 0.0000 0.3575 0.2934 (multiplicity 4)
5 Cd 0.0000 0.0000 0.3104 (multiplicity 2)
6 Cd 0.0000 0.5000 0.0436 (multiplicity 2)
7 Co 0.0000 0.1894 0.9825 (multiplicity 4)

Calculated powder diffraction line list of Pr3CdCo for Cu Ka, from a GGA-PBE-relaxed structure.
No peak broadening, texture or thermal motion is included.

Most intense lines, 10° ≤ 2θ ≤ 90°, in order of rising 2θ:
28.93°, I = 100
33.53°, I = 81
48.15°, I = 58
57.16°, I = 44
59.95°, I = 20
80.34°, I = 25

Crystal structure
a = 5.3447 Å, b = 5.3447 Å, c = 5.3447 Å
α = 90.00°, β = 90.00°, γ = 90.00°
Space group Pm-3m (No. 221)
One atom of each set of equivalent atoms:
1 Pr 0.0000 0.0000 0.5000 (multiplicity 3)
2 Cd 0.5000 0.5000 0.5000 (multiplicity 1)
3 Co 0.0000 0.0000 0.0000 (multiplicity 1)

Calculated powder diffraction line list of PrSmCdCo for Cu Ka, from a GGA-PBE-relaxed structure.
No peak broadening, texture or thermal motion is included.

Most intense lines, 10° ≤ 2θ ≤ 90°, in order of rising 2θ:
24.21°, I = 7
34.50°, I = 100
49.59°, I = 18
61.82°, I = 36
72.76°, I = 11
83.08°, I = 15

Crystal structure
a = 7.3526 Å, b = 7.3526 Å, c = 7.3526 Å
α = 90.00°, β = 90.00°, γ = 90.00°
Space group F-43m (No. 216)
One atom of each set of equivalent atoms:
1 Pr 0.0000 0.0000 0.0000 (multiplicity 4)
2 Sm 0.0000 0.0000 0.5000 (multiplicity 4)
3 Cd 0.2500 0.2500 0.7500 (multiplicity 4)
4 Co 0.2500 0.2500 0.2500 (multiplicity 4)

Calculated powder diffraction line list of CdCoPt4 for Cu Ka, from a GGA-PBE-relaxed structure.
No peak broadening, texture or thermal motion is included.

Most intense lines, 10° ≤ 2θ ≤ 90°, in order of rising 2θ:
14.93°, I = 9
32.88°, I = 9
39.44°, I = 100
45.86°, I = 48
66.87°, I = 28
80.49°, I = 32

Crystal structure
a = 2.7986 Å, b = 2.7986 Å, c = 11.8684 Å
α = 90.00°, β = 90.00°, γ = 90.00°
Space group P4/mmm (No. 123)
One atom of each set of equivalent atoms:
1 Cd 0.0000 0.0000 0.0000 (multiplicity 1)
2 Co 0.5000 0.5000 0.5000 (multiplicity 1)
3 Pt 0.0000 0.0000 0.3524 (multiplicity 2)
4 Pt 0.5000 0.5000 0.1794 (multiplicity 2)

Calculated powder diffraction line list of CdCoRu for Cu Ka, from a GGA-PBE-relaxed structure.
No peak broadening, texture or thermal motion is included.

Most intense lines, 10° ≤ 2θ ≤ 90°, in order of rising 2θ:
38.65°, I = 32
39.37°, I = 28
41.89°, I = 100
56.35°, I = 19
72.16°, I = 19
73.11°, I = 14

Crystal structure
a = 2.8719 Å, b = 4.6588 Å, c = 13.7330 Å
α = 90.00°, β = 90.00°, γ = 90.00°
Space group Fmm2 (No. 42)
One atom of each set of equivalent atoms:
1 Cd 0.0000 0.0000 0.0000 (multiplicity 4)
2 Co 0.0000 0.0000 0.6722 (multiplicity 4)
3 Ru 0.0000 0.0000 0.3181 (multiplicity 4)

Calculated powder diffraction line list of CdCoS for Cu Ka, from a GGA-PBE-relaxed structure.
No peak broadening, texture or thermal motion is included.

Most intense lines, 10° ≤ 2θ ≤ 90°, in order of rising 2θ:
33.27°, I = 37
35.44°, I = 20
36.25°, I = 41
39.70°, I = 100
49.39°, I = 20
59.44°, I = 26

Crystal structure
a = 3.1099 Å, b = 3.1099 Å, c = 12.6647 Å
α = 90.00°, β = 90.00°, γ = 120.00°
Space group P-3m1 (No. 164)
One atom of each set of equivalent atoms:
1 Cd 0.3333 0.6667 0.1027 (multiplicity 2)
2 Co 0.3333 0.6667 0.7211 (multiplicity 2)
3 S 0.3333 0.6667 0.3675 (multiplicity 2)

Calculated powder diffraction line list of Cd4CoS5 for Cu Ka, from a GGA-PBE-relaxed structure.
No peak broadening, texture or thermal motion is included.

Most intense lines, 10° ≤ 2θ ≤ 90°, in order of rising 2θ:
25.18°, I = 67
26.56°, I = 68
28.42°, I = 52
28.53°, I = 100
44.22°, I = 46
48.09°, I = 54

Crystal structure
a = 15.1941 Å, b = 4.0778 Å, c = 15.7094 Å
α = 90.00°, β = 92.65°, γ = 90.00°
Space group Cm (No. 8)
One atom of each set of equivalent atoms:
1 Cd 0.0000 0.0000 0.0000 (multiplicity 2)
2 Cd 0.0283 0.5000 0.4084 (multiplicity 2)
3 Cd 0.1021 0.5000 0.7871 (multiplicity 2)
4 Cd 0.1340 0.0000 0.2196 (multiplicity 2)
5 Cd 0.2058 0.0000 0.5723 (multiplicity 2)
6 Cd 0.2397 0.5000 0.0247 (multiplicity 2)
7 Cd 0.3343 0.0000 0.8177 (multiplicity 2)
8 Cd 0.4343 0.5000 0.6121 (multiplicity 2)
9 Co 0.3029 0.5000 0.3749 (multiplicity 2)
10 Co 0.3984 0.0000 0.1950 (multiplicity 2)
11 S 0.0512 0.0000 0.5029 (multiplicity 2)
12 S 0.0866 0.5000 0.9504 (multiplicity 2)
13 S 0.1627 0.5000 0.3145 (multiplicity 2)
14 S 0.1862 0.0000 0.7352 (multiplicity 2)
15 S 0.2643 0.0000 0.1202 (multiplicity 2)
16 S 0.2903 0.5000 0.5205 (multiplicity 2)
17 S 0.3540 0.5000 0.9125 (multiplicity 2)
18 S 0.3720 0.0000 0.3370 (multiplicity 2)
19 S 0.4513 0.0000 0.7079 (multiplicity 2)
20 S 0.4712 0.5000 0.1612 (multiplicity 2)

Calculated powder diffraction line list of CdCoSe for Cu Ka, from a GGA-PBE-relaxed structure.
No peak broadening, texture or thermal motion is included.

Most intense lines, 10° ≤ 2θ ≤ 90°, in order of rising 2θ:
29.36°, I = 29
30.65°, I = 28
37.25°, I = 100
42.56°, I = 53
48.12°, I = 27
74.38°, I = 24

Crystal structure
a = 3.0042 Å, b = 3.0042 Å, c = 12.1666 Å
α = 90.00°, β = 90.00°, γ = 90.00°
Space group I4mm (No. 107)
One atom of each set of equivalent atoms:
1 Cd 0.0000 0.0000 0.0000 (multiplicity 2)
2 Co 0.0000 0.0000 0.3385 (multiplicity 2)
3 Se 0.0000 0.0000 0.7435 (multiplicity 2)

Calculated powder diffraction line list of CdCoSi4 for Cu Ka, from a GGA-PBE-relaxed structure.
No peak broadening, texture or thermal motion is included.

Most intense lines, 10° ≤ 2θ ≤ 90°, in order of rising 2θ:
21.39°, I = 31
35.29°, I = 73
41.64°, I = 100
63.33°, I = 24
67.67°, I = 30
74.62°, I = 21

Crystal structure
a = 7.1944 Å, b = 7.1944 Å, c = 7.1944 Å
α = 90.00°, β = 90.00°, γ = 90.00°
Space group F-43m (No. 216)
One atom of each set of equivalent atoms:
1 Cd 0.0000 0.0000 0.0000 (multiplicity 4)
2 Co 0.2500 0.2500 0.7500 (multiplicity 4)
3 Si 0.1240 0.1240 0.3760 (multiplicity 16)

Calculated powder diffraction line list of Cd2Co2Sn for Cu Ka, from a GGA-PBE-relaxed structure.
No peak broadening, texture or thermal motion is included.

Most intense lines, 10° ≤ 2θ ≤ 90°, in order of rising 2θ:
28.84°, I = 22
35.09°, I = 44
37.87°, I = 100
42.73°, I = 29
44.63°, I = 42
63.50°, I = 29

Crystal structure
a = 6.4200 Å, b = 6.4200 Å, c = 4.2323 Å
α = 90.00°, β = 90.00°, γ = 90.00°
Space group P4/mbm (No. 127)
One atom of each set of equivalent atoms:
1 Cd 0.1637 0.3363 0.0000 (multiplicity 4)
2 Co 0.1291 0.6291 0.5000 (multiplicity 4)
3 Sn 0.0000 0.0000 0.5000 (multiplicity 2)

Calculated powder diffraction line list of SrCdCo for Cu Ka, from a GGA-PBE-relaxed structure.
No peak broadening, texture or thermal motion is included.

Most intense lines, 10° ≤ 2θ ≤ 90°, in order of rising 2θ:
30.69°, I = 100
39.74°, I = 52
41.62°, I = 15
51.03°, I = 23
58.90°, I = 31
66.56°, I = 20

Crystal structure
a = 4.5366 Å, b = 4.5366 Å, c = 4.3404 Å
α = 90.00°, β = 90.00°, γ = 120.00°
Space group P-6m2 (No. 187)
One atom of each set of equivalent atoms:
1 Sr 0.0000 0.0000 0.0000 (multiplicity 1)
2 Cd 0.6667 0.3333 0.5000 (multiplicity 1)
3 Co 0.3333 0.6667 0.5000 (multiplicity 1)

Calculated powder diffraction line list of Tb6CdCo for Cu Ka, from a GGA-PBE-relaxed structure.
No peak broadening, texture or thermal motion is included.

Most intense lines, 10° ≤ 2θ ≤ 90°, in order of rising 2θ:
30.01°, I = 63
30.38°, I = 59
31.04°, I = 100
33.98°, I = 97
35.80°, I = 58
57.58°, I = 65

Crystal structure
a = 7.8696 Å, b = 10.1790 Å, c = 6.2044 Å
α = 90.00°, β = 105.23°, γ = 90.00°
Space group C2/m (No. 12)
One atom of each set of equivalent atoms:
1 Tb 0.1180 0.1860 0.2823 (multiplicity 8)
2 Tb 0.2249 0.5000 0.1398 (multiplicity 4)
3 Cd 0.0000 0.5000 0.5000 (multiplicity 2)
4 Co 0.0000 0.0000 0.0000 (multiplicity 2)

Calculated powder diffraction line list of Cd2CoTe for Cu Ka, from a GGA-PBE-relaxed structure.
No peak broadening, texture or thermal motion is included.

Most intense lines, 10° ≤ 2θ ≤ 90°, in order of rising 2θ:
28.98°, I = 96
30.07°, I = 28
38.23°, I = 100
39.54°, I = 42
43.29°, I = 29
45.99°, I = 44

Crystal structure
a = 3.0587 Å, b = 4.5580 Å, c = 12.5411 Å
α = 90.00°, β = 90.00°, γ = 90.00°
Space group Imm2 (No. 44)
One atom of each set of equivalent atoms:
1 Cd 0.0000 0.0000 0.0000 (multiplicity 2)
2 Cd 0.0000 0.5000 0.1602 (multiplicity 2)
3 Co 0.0000 0.5000 0.6817 (multiplicity 2)
4 Te 0.0000 0.0000 0.3422 (multiplicity 2)